# 1
Structure and computed powder diffraction line list of Sr2Ti6N2O11 (a crystal structure in the Materials Project, relaxed with GGA-PBE; Cu Kα, 1.54184 Å).
Kinematic intensities with the Lorentz-polarization factor, no thermal factor.

Largest 12 diffraction maxima, by angle, 2θ = 10–90°:
2θ 19.34, rel. 53; 2θ 29.29, rel. 92; 2θ 29.68, rel. 61; 2θ 29.98, rel. 100; 2θ 30.41, rel. 38; 2θ 31.62, rel. 47; 2θ 31.80, rel. 49; 2θ 32.93, rel. 41; 2θ 35.26, rel. 37; 2θ 42.65, rel. 61; 2θ 43.50, rel. 44; 2θ 47.61, rel. 66

Structure:
```
data_Sr2Ti6N2O11
_cell_length_a 7.923
_cell_length_b 7.923
_cell_length_c 9.300
_cell_angle_alpha 98.90
_cell_angle_beta 98.90
_cell_angle_gamma 27.90
_space_group_name_H-M_alt 'P 1'
_space_group_IT_number 1
loop_
_space_group_symop_operation_xyz
'x,y,z'
loop_
_atom_site_label
_atom_site_type_symbol
_atom_site_fract_x
_atom_site_fract_y
_atom_site_fract_z
Sr1 Sr 0.000 0.000 0.000
Sr2 Sr 0.099 0.099 0.525
Ti1 Ti 0.315 0.315 0.986
Ti2 Ti 0.383 0.383 0.319
Ti3 Ti 0.433 0.433 0.663
Ti4 Ti 0.664 0.664 0.870
Ti5 Ti 0.716 0.716 0.200
Ti6 Ti 0.777 0.777 0.523
N1 N 0.618 0.618 0.044
N2 N 0.676 0.676 0.376
O1 O 0.196 0.196 0.872
O2 O 0.257 0.257 0.182
O3 O 0.314 0.314 0.516
O4 O 0.393 0.393 0.854
O5 O 0.424 0.424 0.142
O6 O 0.481 0.481 0.462
O7 O 0.551 0.551 0.749
O8 O 0.713 0.713 0.667
O9 O 0.795 0.795 0.996
O10 O 0.851 0.851 0.328
O11 O 0.917 0.917 0.648
```

---

# 2
Structure and computed powder diffraction line list of Cs2TiGe3O9 (a crystal structure in the Materials Project, relaxed with GGA-PBE; Cu Kα, 1.54184 Å).
Kinematic intensities with the Lorentz-polarization factor, no thermal factor.

Largest 12 diffraction maxima, by angle, 2θ = 10–90°:
2θ 24.33, rel. 34; 2θ 28.16, rel. 16; 2θ 29.05, rel. 87; 2θ 29.43, rel. 74; 2θ 29.72, rel. 100; 2θ 41.40, rel. 17; 2θ 45.84, rel. 20; 2θ 46.30, rel. 24; 2θ 49.85, rel. 22; 2θ 52.08, rel. 40; 2θ 58.73, rel. 26; 2θ 70.03, rel. 16

Structure:
```
data_Cs2TiGe3O9
_cell_length_a 7.318
_cell_length_b 7.318
_cell_length_c 10.545
_cell_angle_alpha 90.00
_cell_angle_beta 90.00
_cell_angle_gamma 120.00
_space_group_name_H-M_alt 'P 1'
_space_group_IT_number 1
loop_
_space_group_symop_operation_xyz
'x,y,z'
loop_
_atom_site_label
_atom_site_type_symbol
_atom_site_fract_x
_atom_site_fract_y
_atom_site_fract_z
Cs1 Cs 0.333 0.667 0.059
Cs2 Cs 0.333 0.667 0.441
Cs3 Cs 0.667 0.333 0.559
Cs4 Cs 0.667 0.333 0.941
Ti1 Ti 0.000 0.000 0.000
Ti2 Ti 0.000 0.000 0.500
Ge1 Ge 0.142 0.370 0.750
Ge2 Ge 0.227 0.858 0.750
Ge3 Ge 0.370 0.227 0.250
Ge4 Ge 0.630 0.773 0.750
Ge5 Ge 0.773 0.142 0.250
Ge6 Ge 0.858 0.630 0.250
O1 O 0.038 0.239 0.607
O2 O 0.038 0.239 0.893
O3 O 0.071 0.575 0.750
O4 O 0.201 0.962 0.607
O5 O 0.201 0.962 0.893
O6 O 0.239 0.201 0.107
O7 O 0.239 0.201 0.393
O8 O 0.425 0.496 0.750
O9 O 0.496 0.071 0.250
O10 O 0.504 0.929 0.750
O11 O 0.575 0.504 0.250
O12 O 0.761 0.799 0.607
O13 O 0.761 0.799 0.893
O14 O 0.799 0.038 0.107
O15 O 0.799 0.038 0.393
O16 O 0.929 0.425 0.250
O17 O 0.962 0.761 0.107
O18 O 0.962 0.761 0.393
```

---

# 3
Structure and computed powder diffraction line list of Ho5B2O6F9 (a crystal structure in the Materials Project, relaxed with GGA-PBE; Cu Kα, 1.54184 Å).
Kinematic intensities with the Lorentz-polarization factor, no thermal factor.

Largest 12 diffraction maxima, by angle, 2θ = 10–90°:
2θ 22.09, rel. 41; 2θ 25.00, rel. 39; 2θ 26.50, rel. 100; 2θ 27.17, rel. 54; 2θ 27.74, rel. 38; 2θ 30.20, rel. 31; 2θ 31.33, rel. 76; 2θ 33.14, rel. 26; 2θ 44.20, rel. 31; 2θ 44.95, rel. 25; 2θ 46.54, rel. 32; 2θ 50.69, rel. 61

Structure:
```
data_Ho5B2O6F9
_cell_length_a 10.686
_cell_length_b 10.686
_cell_length_c 8.262
_cell_angle_alpha 99.67
_cell_angle_beta 99.67
_cell_angle_gamma 33.15
_space_group_name_H-M_alt 'P 1'
_space_group_IT_number 1
loop_
_space_group_symop_operation_xyz
'x,y,z'
loop_
_atom_site_label
_atom_site_type_symbol
_atom_site_fract_x
_atom_site_fract_y
_atom_site_fract_z
Ho1 Ho 0.074 0.314 0.319
Ho2 Ho 0.110 0.890 0.750
Ho3 Ho 0.279 0.501 0.094
Ho4 Ho 0.314 0.074 0.819
Ho5 Ho 0.499 0.721 0.406
Ho6 Ho 0.501 0.279 0.594
Ho7 Ho 0.686 0.926 0.181
Ho8 Ho 0.721 0.499 0.906
Ho9 Ho 0.890 0.110 0.250
Ho10 Ho 0.926 0.686 0.681
B1 B 0.016 0.207 0.562
B2 B 0.207 0.016 0.062
B3 B 0.793 0.984 0.938
B4 B 0.984 0.793 0.438
O1 O 0.010 0.804 0.285
O2 O 0.098 0.220 0.038
O3 O 0.148 0.669 0.565
O4 O 0.196 0.990 0.215
O5 O 0.220 0.098 0.538
O6 O 0.331 0.852 0.935
O7 O 0.669 0.148 0.065
O8 O 0.780 0.902 0.462
O9 O 0.804 0.010 0.785
O10 O 0.852 0.331 0.435
O11 O 0.902 0.780 0.962
O12 O 0.990 0.196 0.715
F1 F 0.003 0.447 0.786
F2 F 0.152 0.785 0.015
F3 F 0.213 0.365 0.520
F4 F 0.215 0.848 0.485
F5 F 0.292 0.444 0.815
F6 F 0.365 0.213 0.020
F7 F 0.444 0.292 0.315
F8 F 0.447 0.003 0.286
F9 F 0.484 0.516 0.750
F10 F 0.516 0.484 0.250
F11 F 0.553 0.997 0.714
F12 F 0.556 0.708 0.685
F13 F 0.635 0.787 0.980
F14 F 0.708 0.556 0.185
F15 F 0.785 0.152 0.515
F16 F 0.787 0.635 0.480
F17 F 0.848 0.215 0.985
F18 F 0.997 0.553 0.214
```

---

# 4
Structure and computed powder diffraction line list of CuBiSeO (a crystal structure in the Materials Project, relaxed with GGA-PBE; Cu Kα, 1.54184 Å).
Kinematic intensities with the Lorentz-polarization factor, no thermal factor.

Largest 12 diffraction maxima, by angle, 2θ = 10–90°:
2θ 12.77, rel. 29; 2θ 21.82, rel. 47; 2θ 25.36, rel. 69; 2θ 25.70, rel. 63; 2θ 27.07, rel. 100; 2θ 33.96, rel. 49; 2θ 35.04, rel. 29; 2θ 37.43, rel. 52; 2θ 37.67, rel. 47; 2θ 43.96, rel. 49; 2θ 52.86, rel. 33; 2θ 53.40, rel. 30

Structure:
```
data_CuBiSeO
_cell_length_a 3.294
_cell_length_b 4.072
_cell_length_c 6.934
_cell_angle_alpha 90.00
_cell_angle_beta 90.00
_cell_angle_gamma 90.00
_space_group_name_H-M_alt 'P 1'
_space_group_IT_number 1
loop_
_space_group_symop_operation_xyz
'x,y,z'
loop_
_atom_site_label
_atom_site_type_symbol
_atom_site_fract_x
_atom_site_fract_y
_atom_site_fract_z
Cu1 Cu 0.000 0.000 0.000
Bi1 Bi 0.000 0.500 0.589
Se1 Se 0.000 0.500 0.169
O1 O 0.000 0.000 0.725
```

---

Repeat the third record exactly.
Structure and computed powder diffraction line list of Ho5B2O6F9 (a crystal structure in the Materials Project, relaxed with GGA-PBE; Cu Kα, 1.54184 Å).
Kinematic intensities with the Lorentz-polarization factor, no thermal factor.

Largest 12 diffraction maxima, by angle, 2θ = 10–90°:
2θ 22.09, rel. 41; 2θ 25.00, rel. 39; 2θ 26.50, rel. 100; 2θ 27.17, rel. 54; 2θ 27.74, rel. 38; 2θ 30.20, rel. 31; 2θ 31.33, rel. 76; 2θ 33.14, rel. 26; 2θ 44.20, rel. 31; 2θ 44.95, rel. 25; 2θ 46.54, rel. 32; 2θ 50.69, rel. 61

Structure:
```
data_Ho5B2O6F9
_cell_length_a 10.686
_cell_length_b 10.686
_cell_length_c 8.262
_cell_angle_alpha 99.67
_cell_angle_beta 99.67
_cell_angle_gamma 33.15
_space_group_name_H-M_alt 'P 1'
_space_group_IT_number 1
loop_
_space_group_symop_operation_xyz
'x,y,z'
loop_
_atom_site_label
_atom_site_type_symbol
_atom_site_fract_x
_atom_site_fract_y
_atom_site_fract_z
Ho1 Ho 0.074 0.314 0.319
Ho2 Ho 0.110 0.890 0.750
Ho3 Ho 0.279 0.501 0.094
Ho4 Ho 0.314 0.074 0.819
Ho5 Ho 0.499 0.721 0.406
Ho6 Ho 0.501 0.279 0.594
Ho7 Ho 0.686 0.926 0.181
Ho8 Ho 0.721 0.499 0.906
Ho9 Ho 0.890 0.110 0.250
Ho10 Ho 0.926 0.686 0.681
B1 B 0.016 0.207 0.562
B2 B 0.207 0.016 0.062
B3 B 0.793 0.984 0.938
B4 B 0.984 0.793 0.438
O1 O 0.010 0.804 0.285
O2 O 0.098 0.220 0.038
O3 O 0.148 0.669 0.565
O4 O 0.196 0.990 0.215
O5 O 0.220 0.098 0.538
O6 O 0.331 0.852 0.935
O7 O 0.669 0.148 0.065
O8 O 0.780 0.902 0.462
O9 O 0.804 0.010 0.785
O10 O 0.852 0.331 0.435
O11 O 0.902 0.780 0.962
O12 O 0.990 0.196 0.715
F1 F 0.003 0.447 0.786
F2 F 0.152 0.785 0.015
F3 F 0.213 0.365 0.520
F4 F 0.215 0.848 0.485
F5 F 0.292 0.444 0.815
F6 F 0.365 0.213 0.020
F7 F 0.444 0.292 0.315
F8 F 0.447 0.003 0.286
F9 F 0.484 0.516 0.750
F10 F 0.516 0.484 0.250
F11 F 0.553 0.997 0.714
F12 F 0.556 0.708 0.685
F13 F 0.635 0.787 0.980
F14 F 0.708 0.556 0.185
F15 F 0.785 0.152 0.515
F16 F 0.787 0.635 0.480
F17 F 0.848 0.215 0.985
F18 F 0.997 0.553 0.214
```